# TlInCu2
Computed X-ray diffraction stick pattern, Cu Kα. Input: a crystal structure in Alexandria, relaxed with PBE.
Neutral-atom scattering factors, no anomalous dispersion.

Atomic structure:
```
data_TlInCu2
_space_group_name_H-M_alt 'P m m m'
_space_group_IT_number 47
_space_group_name_Hall '-P 2 2'
_cell_length_a 3.4154
_cell_length_b 4.4974
_cell_length_c 4.9397
_cell_angle_alpha 90.00
_cell_angle_beta 90.00
_cell_angle_gamma 90.00
loop_
_atom_site_label
_atom_site_type_symbol
_atom_site_fract_x
_atom_site_fract_y
_atom_site_fract_z
_atom_site_occupancy
Tl1 Tl 0.0000 0.0000 0.0000 1
In1 In 0.0000 0.5000 0.5000 1
Cu1 Cu 0.5000 0.0000 0.5000 1
Cu2 Cu 0.5000 0.5000 0.0000 1
```

Principal peaks in the range 2θ from 5° to 70°, by angle:
| Position (°2θ) | I (rel.) |
| --- | --- |
| 17.96 | 49 |
| 26.09 | 98 |
| 26.81 | 184 |
| 36.38 | 277 |
| 37.76 | 1000 |
| 40.10 | 211 |
| 45.31 | 47 |
| 53.67 | 89 |
| 55.24 | 163 |
| 66.36 | 184 |
| 66.58 | 91 |
| 69.06 | 82 |